This entry pairs a crystal structure of MgV8O8F8 with its simulated powder XRD pattern. Radiation: Cu Ka. Structure: a crystal structure in the Materials Project, relaxed with PBE+U.
No peak broadening, texture or thermal motion is included.

The 6 most intense peaks (2θ = 10–90°), low angle first:
- 25.27°, intensity 100, (-1 1 1)
- 26.70°, intensity 92, (1 1 1)
- 34.17°, intensity 27, (1 1 -3)
- 34.27°, intensity 27, (0 2 -2)
- 51.91°, intensity 37, (-2 2 2)
- 52.41°, intensity 36, (1 3 -1)

Lattice parameters (Å, degrees): 4.9182 5.7278 10.4962 96.01 91.06 92.83
Element x y z (fractional)
Mg 0.0000 0.0000 0.0000
V 0.0155 0.1291 0.3434
V 0.4772 0.1131 0.8330
V 0.4902 0.3645 0.6003
V 0.4947 0.8829 0.1132
V 0.5159 0.6378 0.3730
V 0.9708 0.5949 0.8495
V 0.9787 0.4319 0.1178
V 0.9983 0.8721 0.6000
O 0.1722 0.1004 0.1696
O 0.2898 0.0890 0.6591
O 0.3014 0.3570 0.4243
O 0.3018 0.8346 0.9306
O 0.6830 0.4001 0.7689
O 0.6874 0.9060 0.2811
O 0.6904 0.6557 0.5381
O 0.8038 0.6942 0.0232
F 0.1460 0.3132 0.9280
F 0.1830 0.5933 0.6787
F 0.1827 0.8460 0.4231
F 0.3278 0.5999 0.1904
F 0.6693 0.1776 0.0285
F 0.8031 0.4155 0.2931
F 0.8085 0.1442 0.5221
F 0.8288 0.9088 0.7880



This entry pairs a crystal structure of Na2LiMnPCO7 with its simulated powder XRD pattern. Radiation: Cu Ka. Structure: a crystal structure in the Materials Project, relaxed with PBE+U.
No peak broadening, texture or thermal motion is included.

The 6 most intense peaks (2θ = 10–90°), low angle first:
- 10.02°, intensity 100, (0 1 0)
- 26.02°, intensity 75, (2 0 0)
- 32.97°, intensity 42, (2 -2 0)
- 33.08°, intensity 29, (2 1 -2)
- 33.25°, intensity 36, (2 2 0)
- 35.16°, intensity 48, (0 0 4)

Lattice parameters (Å, degrees): 6.8484 8.8298 10.2114 91.08 90.03 90.42
Element x y z (fractional)
Na 0.0000 0.0000 0.0000
Na 0.0005 0.0012 0.4992
Na 0.2562 0.8287 0.7478
Na 0.5006 0.0005 0.4988
Na 0.5018 0.4880 0.2498
Na 0.5034 0.4890 0.7490
Na 0.9970 0.4885 0.7490
Na 0.9994 0.4881 0.2490
Li 0.2549 0.8326 0.2469
Li 0.4725 0.0173 0.0121
Li 0.7410 0.6585 0.9994
Li 0.7500 0.6533 0.4977
Mn 0.2498 0.3883 0.0120
Mn 0.2509 0.3852 0.5132
Mn 0.7468 0.1019 0.2334
Mn 0.7483 0.1052 0.7381
P 0.2491 0.1484 0.2686
P 0.2544 0.1534 0.7730
P 0.7456 0.3380 0.9779
P 0.7508 0.3392 0.4769
C 0.2506 0.6859 0.4853
C 0.2599 0.7001 0.9985
C 0.7501 0.7946 0.2604
C 0.7496 0.7957 0.7614
O 0.0653 0.0532 0.2294
O 0.0678 0.0608 0.7352
O 0.2493 0.3157 0.7165
O 0.2487 0.8305 0.4649
O 0.2501 0.6045 0.8989
O 0.2506 0.3085 0.2086
O 0.2518 0.5918 0.3863
O 0.2515 0.6323 0.6035
O 0.2516 0.6493 0.1171
O 0.2548 0.1699 0.4209
O 0.2678 0.1688 0.9262
O 0.2766 0.8439 0.9781
O 0.4270 0.0509 0.2223
O 0.4325 0.0619 0.7224
O 0.5694 0.4393 0.0191
O 0.5705 0.4355 0.5181
O 0.7323 0.1753 0.0352
O 0.7459 0.9000 0.3523
O 0.7472 0.9011 0.8526
O 0.7482 0.3197 0.8256
O 0.7493 0.3153 0.3249
O 0.7495 0.8320 0.6379
O 0.7519 0.1800 0.5393
O 0.7518 0.6549 0.2948
O 0.7517 0.6558 0.7964
O 0.7520 0.8326 0.1376
O 0.9321 0.4267 0.0222
O 0.9324 0.4365 0.5173